Diffraction record for LaTb2Sn2Pb5. The powder diffraction line list is theoretical, not measured: it uses a GGA-PBE-relaxed structure and Cu Kα.

Peak list (12 most intense, 15° ≤ 2θ ≤ 90°, in order of rising 2θ)
| 2theta | I_rel | index |
| --- | --- | --- |
| 31.99 | 100 | 1 5 1 |
| 34.77 | 19 | 0 10 0 |
| 37.95 | 16 | 0 0 2 |
| 38.49 | 16 | 2 0 0 |
| 52.41 | 12 | 0 10 2 |
| 52.84 | 12 | 2 10 0 |
| 55.16 | 11 | 2 0 2 |
| 60.60 | 14 | 1 15 1 |
| 64.83 | 14 | 1 5 3 |
| 65.57 | 13 | 3 5 1 |
| 66.88 | 12 | 2 10 2 |
| 86.09 | 8 | 1 15 3 |

Crystal structure
Unit cell a=4.6775 b=25.7988 c=4.7420 alpha=90.00 beta=90.00 gamma=90.00
Space group Cmmm (No. 65)
Inequivalent atoms, fractional coordinates:
La (0.0000, 0.0000, 0.0000) [2 per cell]
Tb (0.0000, 0.1921, 0.0000) [4 per cell]
Sn (0.0000, 0.2909, 0.5000) [4 per cell]
Pb (0.0000, 0.1021, 0.5000) [4 per cell]
Pb (0.0000, 0.3993, 0.0000) [4 per cell]
Pb (0.0000, 0.5000, 0.5000) [2 per cell]

Diffraction record for LaTb2Sn2Pb5. The powder diffraction line list is theoretical, not measured: it uses a GGA-PBE-relaxed structure and Cu Kα.

Peak list (12 most intense, 15° ≤ 2θ ≤ 90°, in order of rising 2θ)
| 2theta | I_rel | index |
| --- | --- | --- |
| 23.41 | 5 | 0 4 1 |
| 31.98 | 100 | 1 5 1 |
| 34.88 | 18 | 0 10 0 |
| 38.16 | 32 | 2 0 0 |
| 52.66 | 23 | 2 10 0 |
| 55.07 | 11 | 2 0 2 |
| 60.74 | 13 | 1 15 1 |
| 65.05 | 13 | 3 5 1 |
| 65.17 | 13 | 1 5 3 |
| 66.86 | 11 | 2 10 2 |
| 86.42 | 5 | 3 15 1 |
| 86.53 | 5 | 1 15 3 |

Crystal structure
Unit cell a=4.7220 b=25.7190 c=4.7116 alpha=90.00 beta=90.00 gamma=90.00
Space group Cmmm (No. 65)
Inequivalent atoms, fractional coordinates:
La (0.0000, 0.0000, 0.0000) [2 per cell]
Tb (0.0000, 0.1879, 0.0000) [4 per cell]
Sn (0.0000, 0.0999, 0.5000) [4 per cell]
Pb (0.0000, 0.2943, 0.5000) [4 per cell]
Pb (0.0000, 0.4012, 0.0000) [4 per cell]
Pb (0.0000, 0.5000, 0.5000) [2 per cell]

Diffraction record for LaTb2Sn4Pb3. The powder diffraction line list is theoretical, not measured: it uses a GGA-PBE-relaxed structure and Cu Kα.

Peak list (12 most intense, 15° ≤ 2θ ≤ 90°, in order of rising 2θ)
| 2theta | I_rel | index |
| --- | --- | --- |
| 32.22 | 100 | 1 5 1 |
| 34.99 | 18 | 0 10 0 |
| 37.99 | 17 | 0 0 2 |
| 39.03 | 15 | 2 0 0 |
| 52.60 | 13 | 0 10 2 |
| 53.41 | 11 | 2 10 0 |
| 55.60 | 11 | 2 0 2 |
| 61.02 | 14 | 1 15 1 |
| 65.02 | 14 | 1 5 3 |
| 66.44 | 13 | 3 5 1 |
| 67.41 | 11 | 2 10 2 |
| 86.52 | 5 | 1 15 3 |

Crystal structure
Unit cell a=4.6160 b=25.6420 c=4.7371 alpha=90.00 beta=90.00 gamma=90.00
Space group Cmmm (No. 65)
Inequivalent atoms, fractional coordinates:
La (0.0000, 0.0000, 0.0000) [2 per cell]
Tb (0.0000, 0.1904, 0.0000) [4 per cell]
Sn (0.0000, 0.2911, 0.5000) [4 per cell]
Sn (0.0000, 0.4000, 0.0000) [4 per cell]
Pb (0.0000, 0.1013, 0.5000) [4 per cell]
Pb (0.0000, 0.5000, 0.5000) [2 per cell]

Diffraction record for La2TbSn3Pb4. The powder diffraction line list is theoretical, not measured: it uses a GGA-PBE-relaxed structure and Cu Kα.

Peak list (12 most intense, 15° ≤ 2θ ≤ 90°, in order of rising 2θ)
| 2theta | I_rel | index |
| --- | --- | --- |
| 31.83 | 100 | 1 5 1 |
| 34.36 | 16 | 0 10 0 |
| 37.55 | 18 | 0 0 2 |
| 38.72 | 16 | 2 0 0 |
| 51.81 | 10 | 0 10 2 |
| 52.72 | 11 | 2 10 0 |
| 55.04 | 12 | 2 0 2 |
| 59.95 | 10 | 1 15 1 |
| 64.20 | 14 | 1 5 3 |
| 65.79 | 13 | 3 5 1 |
| 66.52 | 10 | 2 10 2 |
| 85.04 | 5 | 1 15 3 |

Crystal structure
Unit cell a=4.6510 b=26.1000 c=4.7902 alpha=90.00 beta=90.00 gamma=90.00
Space group Cmmm (No. 65)
Inequivalent atoms, fractional coordinates:
La (0.0000, 0.1840, 0.0000) [4 per cell]
Tb (0.0000, 0.0000, 0.0000) [2 per cell]
Sn (0.0000, 0.4090, 0.0000) [4 per cell]
Sn (0.0000, 0.5000, 0.5000) [2 per cell]
Pb (0.0000, 0.0932, 0.5000) [4 per cell]
Pb (0.0000, 0.2926, 0.5000) [4 per cell]